Starting from a PBE+U-relaxed structure, the XRD peak list of BaSrSmVO6 was simulated for CuKα.
Lines closer than 0.1° are merged.

The 12 most intense peaks (2θ = 10–80°), in order of rising 2θ:
4.841 Å, 18.33 deg, rel. 13
2.964 Å, 30.15 deg, rel. 100
2.528 Å, 35.51 deg, rel. 11
2.420 Å, 37.15 deg, rel. 3
2.096 Å, 43.16 deg, rel. 32
1.923 Å, 47.26 deg, rel. 6
1.711 Å, 53.55 deg, rel. 39
1.614 Å, 57.08 deg, rel. 3
1.482 Å, 62.68 deg, rel. 19
1.417 Å, 65.91 deg, rel. 3
1.326 Å, 71.12 deg, rel. 18
1.210 Å, 79.14 deg, rel. 6

Structural model:
```
BaSrSmVO6
1.0
0.0000 4.1921 4.1921
4.1921 0.0000 4.1921
4.1921 4.1921 0.0000
Ba Sr Sm V O
1 1 1 1 6
Direct
0.0000 0.0000 0.0000 Ba
0.5000 0.5000 0.5000 Sr
0.7500 0.7500 0.7500 Sm
0.2500 0.2500 0.2500 V
0.0221 0.0221 0.4779 O
0.0221 0.4779 0.0221 O
0.0221 0.4779 0.4779 O
0.4779 0.0221 0.0221 O
0.4779 0.0221 0.4779 O
0.4779 0.4779 0.0221 O
```